Calculated powder diffraction line list of Rb4NaTl4 for copper Kα, from a crystal structure in Alexandria, relaxed with GGA-PBE.
Peak positions follow from Bragg's law for the DFT cell and can differ from measured ones.

Largest 10 diffraction maxima, in order of rising 2θ, 2θ = 15–90°:
(1 1 4), 2θ 25.18, d = 3.537 Å, I 40
(1 1 6), 2θ 29.61, d = 3.017 Å, I 100
(2 0 0), 2θ 29.89, d = 2.990 Å, I 51
(2 0 2), 2θ 30.70, d = 2.913 Å, I 44
(1 1 8), 2θ 34.96, d = 2.566 Å, I 35
(2 2 0), 2θ 42.78, d = 2.114 Å, I 20
(2 2 2), 2θ 43.37, d = 2.086 Å, I 14
(2 0 12), 2θ 52.37, d = 1.747 Å, I 14
(3 1 6), 2θ 52.89, d = 1.731 Å, I 36
(3 1 8), 2θ 56.39, d = 1.632 Å, I 16

Structure:
a = 5.9792 Å, b = 5.9792 Å, c = 25.8336 Å
α = 90.00°, β = 90.00°, γ = 90.00°
Space group I-42m (No. 121)
Inequivalent atoms, fractional coordinates:
Rb1 0.2352 0.2352 0.3754
Na1 0.0000 0.0000 0.0000
Tl1 0.2301 0.2301 0.2195